# NaVO2F2
Calculated X-ray powder pattern, Cu Kα, 1.54184 Å. Input: DFT lattice parameters and positions (PBE+U).
Intensities are scaled so that the largest is 1000.

Top 6 peaks for 2θ from 15° to 90°, low angle first:
2θ (°)  d/Å  I/Imax  hkl
15.72  5.637  669  1 0 -1
25.91  3.438  908  0 0 2
27.39  3.256  613  2 0 -1
28.17  3.168  707  0 1 1
28.90  3.090  1000  1 1 0
51.18  1.785  462  0 2 0

Crystal structure
```
NaVO2F2
1.0
6.558 0.000 0.000
0.000 3.570 0.000
-2.471 0.000 6.877
Na V O F
2 2 4 4
Cartesian
0.341 0.000 1.492
3.747 1.785 5.385
0.441 0.006 5.424
3.646 1.791 1.453
0.038 0.007 3.853
0.540 1.787 5.932
3.547 0.002 0.945
4.049 1.792 3.024
-1.386 3.569 6.090
1.770 1.784 1.679
2.317 3.569 5.198
5.473 1.784 0.787
```